[1]
Theoretical powder diffraction line list
Compound: NaS4Br
Radiation: Cu Ka
Structure: the PBE geometry in Alexandria
Kinematic intensities with the Lorentz-polarization factor, no thermal factor.

Cell and atoms:
abc: 4.830 8.563 9.076
angles: 69.64 86.34 78.58
Space group P-1 (No. 2)
Inequivalent atoms, fractional coordinates:
Na 0.189 0.087 0.125 (multiplicity 2)
S 0.123 0.543 0.420 (multiplicity 2)
S 0.176 0.623 0.765 (multiplicity 2)
S 0.404 0.718 0.574 (multiplicity 2)
S 0.425 0.430 0.937 (multiplicity 2)
Br 0.254 0.100 0.801 (multiplicity 2)

Principal peaks in the range 10 to 90 degrees two-theta, sorted by position:
d_spacing	I_rel
7.129	272
4.155	1000
4.127	223
3.355	237
3.301	263
3.243	334
3.105	533
2.802	292
2.783	356
1.945	203

=====

[2]
Theoretical powder diffraction line list
Compound: MgZn4Sn4O8
Radiation: Cu Ka
Structure: the PBE geometry in Alexandria
Kinematic intensities with the Lorentz-polarization factor, no thermal factor.

Cell and atoms:
abc: 3.293 8.998 9.560
angles: 94.05 99.39 98.04
Space group P1 (No. 1)
Inequivalent atoms, fractional coordinates:
Mg 0.000 0.000 0.000 (multiplicity 1)
Zn 0.401 0.064 0.766 (multiplicity 1)
Zn 0.502 0.857 0.194 (multiplicity 1)
Zn 0.627 0.690 0.903 (multiplicity 1)
Zn 0.645 0.841 0.550 (multiplicity 1)
Sn 0.113 0.364 0.007 (multiplicity 1)
Sn 0.217 0.156 0.408 (multiplicity 1)
Sn 0.906 0.572 0.280 (multiplicity 1)
Sn 0.987 0.505 0.638 (multiplicity 1)
O 0.089 0.010 0.213 (multiplicity 1)
O 0.092 0.533 0.864 (multiplicity 1)
O 0.206 0.974 0.567 (multiplicity 1)
O 0.428 0.902 0.922 (multiplicity 1)
O 0.505 0.724 0.359 (multiplicity 1)
O 0.573 0.669 0.673 (multiplicity 1)
O 0.873 0.713 0.111 (multiplicity 1)
O 0.981 0.161 0.857 (multiplicity 1)

Principal peaks in the range 10 to 90 degrees two-theta, sorted by position:
d_spacing	I_rel
3.869	240
3.389	995
2.880	1000
2.866	906
2.767	718
2.745	482
2.477	424
2.467	555
1.767	281
1.711	235

=====

Please write out number 2 again, unchanged.
Theoretical powder diffraction line list
Compound: MgZn4Sn4O8
Radiation: Cu Ka
Structure: the PBE geometry in Alexandria
Kinematic intensities with the Lorentz-polarization factor, no thermal factor.

Cell and atoms:
abc: 3.293 8.998 9.560
angles: 94.05 99.39 98.04
Space group P1 (No. 1)
Inequivalent atoms, fractional coordinates:
Mg 0.000 0.000 0.000 (multiplicity 1)
Zn 0.401 0.064 0.766 (multiplicity 1)
Zn 0.502 0.857 0.194 (multiplicity 1)
Zn 0.627 0.690 0.903 (multiplicity 1)
Zn 0.645 0.841 0.550 (multiplicity 1)
Sn 0.113 0.364 0.007 (multiplicity 1)
Sn 0.217 0.156 0.408 (multiplicity 1)
Sn 0.906 0.572 0.280 (multiplicity 1)
Sn 0.987 0.505 0.638 (multiplicity 1)
O 0.089 0.010 0.213 (multiplicity 1)
O 0.092 0.533 0.864 (multiplicity 1)
O 0.206 0.974 0.567 (multiplicity 1)
O 0.428 0.902 0.922 (multiplicity 1)
O 0.505 0.724 0.359 (multiplicity 1)
O 0.573 0.669 0.673 (multiplicity 1)
O 0.873 0.713 0.111 (multiplicity 1)
O 0.981 0.161 0.857 (multiplicity 1)

Principal peaks in the range 10 to 90 degrees two-theta, sorted by position:
d_spacing	I_rel
3.869	240
3.389	995
2.880	1000
2.866	906
2.767	718
2.745	482
2.477	424
2.467	555
1.767	281
1.711	235